(1)
LiDy2ZnAu4: calculated powder XRD pattern (Cu Ka), based on a crystal structure in Alexandria, relaxed with GGA-PBE.
Kinematic intensities with the Lorentz-polarization factor, no thermal factor.

Largest 10 diffraction maxima, in order of falling intensity, 2θ from 10° to 90°:
| Position (°2θ) | d/Å | I_rel |
| --- | --- | --- |
| 36.4 | 2.467 | 100 |
| 37.8 | 2.378 | 85 |
| 66.5 | 1.407 | 33 |
| 53.5 | 1.712 | 32 |
| 26.0 | 3.425 | 25 |
| 65.5 | 1.425 | 18 |
| 89.5 | 1.095 | 16 |
| 43.7 | 2.072 | 13 |
| 69.2 | 1.357 | 12 |
| 77.3 | 1.234 | 11 |

Crystal structure
Cell: 4.9347 4.9347 22.8977 Å, 90.00 90.00 120.00°
Space group R-3m (No. 166, hexagonal axes)
Symmetry-distinct sites (fractional):
Li1 0.0000 0.0000 0.0000 (multiplicity 3)
Dy1 0.0000 0.0000 0.2469 (multiplicity 6)
Zn1 0.0000 0.0000 0.5000 (multiplicity 3)
Au1 0.0000 0.0000 0.1179 (multiplicity 6)
Au2 0.0000 0.0000 0.3775 (multiplicity 6)


(2)
Ce2HoRuN4: calculated powder XRD pattern (Cu Ka), based on a crystal structure in Alexandria, relaxed with GGA-PBE.
Kinematic intensities with the Lorentz-polarization factor, no thermal factor.

Largest 10 diffraction maxima, in order of falling intensity, 2θ from 10° to 90°:
| Position (°2θ) | d/Å | I_rel |
| --- | --- | --- |
| 31.5 | 2.837 | 100 |
| 38.4 | 2.344 | 94 |
| 30.4 | 2.942 | 67 |
| 27.5 | 3.243 | 59 |
| 30.7 | 2.915 | 33 |
| 49.7 | 1.833 | 27 |
| 43.7 | 2.071 | 23 |
| 41.6 | 2.169 | 22 |
| 35.9 | 2.500 | 22 |
| 48.0 | 1.894 | 21 |

Crystal structure
Cell: 3.3780 11.7668 11.6614 Å, 90.00 90.00 90.00°
Space group Cmcm (No. 63)
Symmetry-distinct sites (fractional):
Ce1 0.0000 0.1311 0.0518 (multiplicity 8)
Ho1 0.0000 0.3830 0.2500 (multiplicity 4)
Ru1 0.0000 0.3557 0.7500 (multiplicity 4)
N1 0.0000 0.0352 0.2500 (multiplicity 4)
N2 0.0000 0.2255 0.6286 (multiplicity 8)
N3 0.0000 0.5000 0.0000 (multiplicity 4)


(3)
LiNdGaCo: calculated powder XRD pattern (Cu Ka), based on a crystal structure in Alexandria, relaxed with GGA-PBE.
Kinematic intensities with the Lorentz-polarization factor, no thermal factor.

Largest 10 diffraction maxima, in order of falling intensity, 2θ from 10° to 90°:
| Position (°2θ) | d/Å | I_rel |
| --- | --- | --- |
| 39.2 | 2.301 | 100 |
| 27.4 | 3.254 | 36 |
| 71.0 | 1.328 | 33 |
| 23.7 | 3.757 | 26 |
| 56.6 | 1.627 | 17 |
| 64.0 | 1.455 | 14 |
| 46.3 | 1.962 | 13 |
| 84.2 | 1.150 | 10 |
| 48.5 | 1.878 | 10 |
| 62.2 | 1.493 | 5 |

Crystal structure
Cell: 6.5072 6.5072 6.5072 Å, 90.00 90.00 90.00°
Space group F-43m (No. 216)
Symmetry-distinct sites (fractional):
Li1 0.0000 0.0000 0.0000 (multiplicity 4)
Nd1 0.2500 0.2500 0.2500 (multiplicity 4)
Ga1 0.2500 0.2500 0.7500 (multiplicity 4)
Co1 0.0000 0.0000 0.5000 (multiplicity 4)


What did the second record say?
Ce2HoRuN4: calculated powder XRD pattern (Cu Ka), based on a crystal structure in Alexandria, relaxed with GGA-PBE.
Kinematic intensities with the Lorentz-polarization factor, no thermal factor.

Largest 10 diffraction maxima, in order of falling intensity, 2θ from 10° to 90°:
| Position (°2θ) | d/Å | I_rel |
| --- | --- | --- |
| 31.5 | 2.837 | 100 |
| 38.4 | 2.344 | 94 |
| 30.4 | 2.942 | 67 |
| 27.5 | 3.243 | 59 |
| 30.7 | 2.915 | 33 |
| 49.7 | 1.833 | 27 |
| 43.7 | 2.071 | 23 |
| 41.6 | 2.169 | 22 |
| 35.9 | 2.500 | 22 |
| 48.0 | 1.894 | 21 |

Crystal structure
Cell: 3.3780 11.7668 11.6614 Å, 90.00 90.00 90.00°
Space group Cmcm (No. 63)
Symmetry-distinct sites (fractional):
Ce1 0.0000 0.1311 0.0518 (multiplicity 8)
Ho1 0.0000 0.3830 0.2500 (multiplicity 4)
Ru1 0.0000 0.3557 0.7500 (multiplicity 4)
N1 0.0000 0.0352 0.2500 (multiplicity 4)
N2 0.0000 0.2255 0.6286 (multiplicity 8)
N3 0.0000 0.5000 0.0000 (multiplicity 4)